Record 1
# Li2Sn3Au4
Theoretical X-ray diffraction stick pattern, a wavelength of 1.5418 Å. Input: a GGA-PBE-relaxed structure.
Neutral-atom scattering factors, no anomalous dispersion.

The 10 most intense peaks (10 to 90 degrees two-theta), by angle:
d [Å]	2θ/deg	I_rel
4.043	21.98	43
4.021	22.11	20
2.398	37.50	51
2.374	37.90	100
2.355	38.22	49
2.344	38.41	48
2.333	38.59	48
1.706	53.72	18
1.666	55.11	17
1.357	69.23	19

Structural model:
```
data_Li2Sn3Au4
_chemical_formula_sum 'Li2 Sn3 Au4'
_space_group_name_H-M_alt 'P 1'
_space_group_IT_number 1
_cell_length_a 4.667
_cell_length_b 4.713
_cell_length_c 10.026
_cell_angle_alpha 101.76
_cell_angle_beta 90.86
_cell_angle_gamma 119.25
loop_
_space_group_symop_operation_xyz
'x,y,z'
loop_
_atom_site_label
_atom_site_type_symbol
_atom_site_fract_x
_atom_site_fract_y
_atom_site_fract_z
_atom_site_occupancy
Li1 Li 0.101 0.199 0.303 1
Li2 Li 0.899 0.801 0.697 1
Sn1 Sn 0.300 0.605 0.894 1
Sn2 Sn 0.500 0.000 0.500 1
Sn3 Sn 0.700 0.395 0.106 1
Au1 Au 0.200 0.398 0.602 1
Au2 Au 0.396 0.787 0.195 1
Au3 Au 0.604 0.213 0.805 1
Au4 Au 0.800 0.602 0.398 1
```

---

Record 2
# SrSn2Pt5
Theoretical X-ray diffraction stick pattern, a wavelength of 1.5418 Å. Input: a GGA-PBE-relaxed structure.
Neutral-atom scattering factors, no anomalous dispersion.

The 10 most intense peaks (10 to 90 degrees two-theta), by angle:
d [Å]	2θ/deg	I_rel
6.110	14.50	69
2.694	33.26	95
2.655	33.76	100
2.181	41.40	81
2.151	42.01	47
2.112	42.83	62
2.037	44.48	22
2.032	44.59	44
1.487	62.46	46
1.238	77.06	25

Structural model:
```
data_SrSn2Pt5
_chemical_formula_sum 'Sr2 Sn4 Pt10'
_space_group_name_H-M_alt 'P 1'
_space_group_IT_number 1
_cell_length_a 4.065
_cell_length_b 7.414
_cell_length_c 10.789
_cell_angle_alpha 90.00
_cell_angle_beta 90.00
_cell_angle_gamma 90.00
loop_
_space_group_symop_operation_xyz
'x,y,z'
loop_
_atom_site_label
_atom_site_type_symbol
_atom_site_fract_x
_atom_site_fract_y
_atom_site_fract_z
_atom_site_occupancy
Sr1 Sr 0.000 0.000 0.000 1
Sr2 Sr 0.500 0.500 0.500 1
Sn1 Sn 0.000 0.500 0.249 1
Sn2 Sn 0.000 0.500 0.751 1
Sn3 Sn 0.500 0.000 0.251 1
Sn4 Sn 0.500 0.000 0.749 1
Pt1 Pt 0.000 0.192 0.367 1
Pt2 Pt 0.000 0.192 0.633 1
Pt3 Pt 0.000 0.500 0.000 1
Pt4 Pt 0.000 0.808 0.367 1
Pt5 Pt 0.000 0.808 0.633 1
Pt6 Pt 0.500 0.000 0.500 1
Pt7 Pt 0.500 0.308 0.133 1
Pt8 Pt 0.500 0.308 0.867 1
Pt9 Pt 0.500 0.692 0.133 1
Pt10 Pt 0.500 0.692 0.867 1
```

---

Record 3
# B2C3
Theoretical X-ray diffraction stick pattern, a wavelength of 1.5418 Å. Input: a GGA-PBE-relaxed structure.
Neutral-atom scattering factors, no anomalous dispersion.

The 10 most intense peaks (10 to 90 degrees two-theta), by angle:
d [Å]	2θ/deg	I_rel
3.122	28.59	11
3.061	29.17	11
2.170	41.61	100
2.143	42.16	73
1.360	69.04	10
1.341	70.19	22
1.334	70.61	13
1.278	74.23	19
1.180	81.57	10
1.097	89.26	11

Structural model:
```
data_B2C3
_chemical_formula_sum 'B4 C6'
_space_group_name_H-M_alt 'P 1'
_space_group_IT_number 1
_cell_length_a 4.491
_cell_length_b 4.491
_cell_length_c 5.840
_cell_angle_alpha 126.61
_cell_angle_beta 126.61
_cell_angle_gamma 47.25
loop_
_space_group_symop_operation_xyz
'x,y,z'
loop_
_atom_site_label
_atom_site_type_symbol
_atom_site_fract_x
_atom_site_fract_y
_atom_site_fract_z
_atom_site_occupancy
B1 B 0.000 0.000 0.000 1
B2 B 0.332 0.442 0.151 1
B3 B 0.558 0.668 0.849 1
B4 B 0.770 0.230 0.500 1
C1 C 0.156 0.611 0.664 1
C2 C 0.208 0.201 0.602 1
C3 C 0.389 0.844 0.336 1
C4 C 0.540 0.055 0.886 1
C5 C 0.799 0.792 0.398 1
C6 C 0.945 0.460 0.114 1
```

---

Q: Which formula does entry 2 have?
A: SrSn2Pt5